Simulated PXRD pattern
Compound: CaFe2I8
Radiation: CuKα
Structure: a DFT-relaxed cell (GGA-PBE, Alexandria)
No peak broadening, texture or thermal motion is included.

Cell and atoms:
a = 13.541 Å, b = 11.566 Å, c = 7.112 Å
α = 90.00°, β = 95.91°, γ = 90.00°
Space group C2/m (No. 12)
Inequivalent atoms, fractional coordinates:
Ca  0.000  0.000  0.000 [2 per cell]
Fe  0.198  0.000  0.651 [4 per cell]
I  0.107  0.181  0.761 [8 per cell]
I  0.124  0.500  0.216 [4 per cell]
I  0.198  0.000  0.288 [4 per cell]

Peak list (10 most intense, 2θ = 5–70°, in order of rising 2θ)
8.775 Å, 10.1 deg, I = 24
5.783 Å, 15.3 deg, I = 25
3.846 Å, 23.1 deg, I = 100
3.706 Å, 24.0 deg, I = 23
3.621 Å, 24.6 deg, I = 35
3.537 Å, 25.2 deg, I = 57
3.460 Å, 25.8 deg, I = 48
2.522 Å, 35.6 deg, I = 31
2.208 Å, 40.9 deg, I = 41
1.949 Å, 46.6 deg, I = 30